Record 1
Structure and theoretical X-ray powder pattern of PrP2Pt2 (a GGA-PBE-relaxed structure; Cu Kα (weighted mean of Kα1 and Kα2)).

Main lines, by angle (10 to 90 degrees two-theta):
h k l, two_theta, I (rel.)
0 0 6, 27.62, 22
1 1 2, 30.75, 95
1 0 5, 31.03, 83
1 1 4, 34.77, 100
1 0 7, 38.66, 39
2 0 0, 41.91, 87
1 1 8, 47.97, 30
2 1 5, 53.05, 38
2 1 7, 58.32, 23
2 2 0, 60.76, 29
1 1 12, 65.40, 25
3 1 4, 71.95, 24

```
data_PrP2Pt2
_chemical_formula_sum 'Pr4 P8 Pt8'
_symmetry_space_group_name_H-M 'I 4/m m m'
_symmetry_Int_Tables_number 139
_symmetry_space_group_name_Hall '-I 4 2'
_cell_length_a 4.3114
_cell_length_b 4.3114
_cell_length_c 19.3763
_cell_angle_alpha 90.00
_cell_angle_beta 90.00
_cell_angle_gamma 90.00
loop_
_atom_site_label
_atom_site_type_symbol
_atom_site_fract_x
_atom_site_fract_y
_atom_site_fract_z
Pr1 Pr 0.0000 0.0000 0.1251
P1 P 0.0000 0.0000 0.4305
P2 P 0.0000 0.5000 0.2500
Pt1 Pt 0.0000 0.0000 0.3068
Pt2 Pt 0.0000 0.5000 0.0000
```

---

Record 2
Structure and theoretical X-ray powder pattern of Ge2S5 (a GGA-PBE-relaxed structure; Cu Kα (weighted mean of Kα1 and Kα2)).

Main lines, by angle (10 to 90 degrees two-theta):
h k l, two_theta, I (rel.)
1 0 1, 11.41, 70
0 1 1, 12.64, 43
0 1 -1, 13.76, 44
1 -1 0, 14.37, 41
1 2 1, 20.88, 49
2 0 3, 28.59, 65
1 1 -2, 28.62, 48
2 -2 0, 28.99, 100
1 4 1, 37.79, 43
-3 1 2, 47.51, 78
2 4 -1, 48.06, 41
-1 5 1, 48.71, 40

```
data_Ge2S5
_chemical_formula_sum 'Ge8 S20'
_symmetry_space_group_name_H-M 'P -1'
_symmetry_Int_Tables_number 2
_symmetry_space_group_name_Hall '-P 1'
_cell_length_a 8.5705
_cell_length_b 9.8816
_cell_length_c 10.1249
_cell_angle_alpha 85.17
_cell_angle_beta 65.06
_cell_angle_gamma 89.06
loop_
_atom_site_label
_atom_site_type_symbol
_atom_site_fract_x
_atom_site_fract_y
_atom_site_fract_z
Ge1 Ge 0.0212 0.1693 0.2358
Ge2 Ge 0.1193 0.4977 0.6796
Ge3 Ge 0.3097 0.6945 0.8529
Ge4 Ge 0.3877 0.7774 0.4814
S1 S 0.0417 0.2898 0.6706
S2 S 0.0805 0.8300 0.9371
S3 S 0.1188 0.3760 0.2493
S4 S 0.1694 0.9241 0.5435
S5 S 0.2332 0.4787 0.8447
S6 S 0.2483 0.0405 0.1615
S7 S 0.3117 0.5690 0.4522
S8 S 0.4135 0.1520 0.7353
S9 S 0.4208 0.6899 0.0130
S10 S 0.4841 0.2200 0.3638
```

---

Record 3
Structure and theoretical X-ray powder pattern of SiC (a GGA-PBE-relaxed structure; Cu Kα (weighted mean of Kα1 and Kα2)).

Main lines, by angle (10 to 90 degrees two-theta):
h k l, two_theta, I (rel.)
1 0 13, 33.88, 32
0 1 23, 34.83, 9
0 1 26, 35.21, 22
0 0 84, 35.52, 100
0 1 29, 35.64, 13
0 1 41, 37.77, 27
1 0 43, 38.18, 24
0 1 56, 41.23, 9
1 1 0, 59.71, 67
0 1 125, 65.02, 12
1 0 127, 65.85, 11
1 1 84, 71.44, 53

```
data_SiC
_chemical_formula_sum 'Si84 C84'
_symmetry_space_group_name_H-M 'R 3 m'
_symmetry_Int_Tables_number 160
_symmetry_space_group_name_Hall 'R 3 -2"'
_cell_length_a 3.0979
_cell_length_b 3.0979
_cell_length_c 212.1931
_cell_angle_alpha 90.00
_cell_angle_beta 90.00
_cell_angle_gamma 120.00
loop_
_atom_site_label
_atom_site_type_symbol
_atom_site_fract_x
_atom_site_fract_y
_atom_site_fract_z
Si1 Si 0.0000 0.0000 0.0000
Si2 Si 0.0000 0.0000 0.0238
Si3 Si 0.0000 0.0000 0.0475
Si4 Si 0.0000 0.0000 0.0952
Si5 Si 0.0000 0.0000 0.1191
Si6 Si 0.0000 0.0000 0.1667
Si7 Si 0.0000 0.0000 0.1905
Si8 Si 0.0000 0.0000 0.2382
Si9 Si 0.0000 0.0000 0.2620
Si10 Si 0.0000 0.0000 0.3096
Si11 Si 0.0000 0.0000 0.3452
Si12 Si 0.0000 0.0000 0.3927
Si13 Si 0.0000 0.0000 0.4166
Si14 Si 0.0000 0.0000 0.4643
Si15 Si 0.0000 0.0000 0.4881
Si16 Si 0.0000 0.0000 0.5357
Si17 Si 0.0000 0.0000 0.5596
Si18 Si 0.0000 0.0000 0.6072
Si19 Si 0.0000 0.0000 0.6310
Si20 Si 0.0000 0.0000 0.6548
Si21 Si 0.0000 0.0000 0.7023
Si22 Si 0.0000 0.0000 0.7380
Si23 Si 0.0000 0.0000 0.7738
Si24 Si 0.0000 0.0000 0.8096
Si25 Si 0.0000 0.0000 0.8452
Si26 Si 0.0000 0.0000 0.8810
Si27 Si 0.0000 0.0000 0.9167
Si28 Si 0.0000 0.0000 0.9525
C1 C 0.0000 0.0000 0.0089
C2 C 0.0000 0.0000 0.0327
C3 C 0.0000 0.0000 0.0564
C4 C 0.0000 0.0000 0.1041
C5 C 0.0000 0.0000 0.1280
C6 C 0.0000 0.0000 0.1756
C7 C 0.0000 0.0000 0.1994
C8 C 0.0000 0.0000 0.2471
C9 C 0.0000 0.0000 0.2709
C10 C 0.0000 0.0000 0.3185
C11 C 0.0000 0.0000 0.3542
C12 C 0.0000 0.0000 0.4017
C13 C 0.0000 0.0000 0.4256
C14 C 0.0000 0.0000 0.4733
C15 C 0.0000 0.0000 0.4971
C16 C 0.0000 0.0000 0.5447
C17 C 0.0000 0.0000 0.5685
C18 C 0.0000 0.0000 0.6162
C19 C 0.0000 0.0000 0.6400
C20 C 0.0000 0.0000 0.6637
C21 C 0.0000 0.0000 0.7112
C22 C 0.0000 0.0000 0.7470
C23 C 0.0000 0.0000 0.7828
C24 C 0.0000 0.0000 0.8186
C25 C 0.0000 0.0000 0.8542
C26 C 0.0000 0.0000 0.8900
C27 C 0.0000 0.0000 0.9257
C28 C 0.0000 0.0000 0.9614
```

---

Record 4
Structure and theoretical X-ray powder pattern of KTm2F7 (a GGA-PBE-relaxed structure; Cu Kα (weighted mean of Kα1 and Kα2)).

Main lines, by angle (10 to 90 degrees two-theta):
h k l, two_theta, I (rel.)
2 0 0, 15.18, 32
4 0 -3, 26.90, 52
2 2 0, 27.16, 100
0 0 3, 27.58, 45
4 0 0, 30.63, 27
2 2 -3, 31.95, 44
6 2 -3, 44.40, 36
2 2 3, 45.29, 37
0 4 0, 45.70, 18
4 0 -6, 45.93, 19
6 2 0, 52.36, 19
6 2 -6, 53.78, 16

```
data_KTm2F7
_chemical_formula_sum 'K8 Tm16 F56'
_symmetry_space_group_name_H-M 'C 1 2/m 1'
_symmetry_Int_Tables_number 12
_symmetry_space_group_name_Hall '-C 2y'
_cell_length_a 14.2774
_cell_length_b 7.9412
_cell_length_c 11.8630
_cell_angle_alpha 90.00
_cell_angle_beta 125.14
_cell_angle_gamma 90.00
loop_
_atom_site_label
_atom_site_type_symbol
_atom_site_fract_x
_atom_site_fract_y
_atom_site_fract_z
K1 K 0.2321 0.0000 0.1541
K2 K 0.2384 0.5000 0.4808
Tm1 Tm 0.0000 0.2592 0.5000
Tm2 Tm 0.0019 0.2376 0.1802
Tm3 Tm 0.2417 0.0000 0.8206
F1 F 0.0000 0.1800 0.0000
F2 F 0.0052 0.5000 0.2298
F3 F 0.0989 0.2325 0.4138
F4 F 0.1034 0.0000 0.2470
F5 F 0.1038 0.0000 0.5875
F6 F 0.1052 0.5000 0.5759
F7 F 0.1126 0.0000 0.8828
F8 F 0.1179 0.2389 0.7369
F9 F 0.1614 0.3344 0.0010
F10 F 0.1725 0.3277 0.2387
```

---

Record 5
Structure and theoretical X-ray powder pattern of CsCd13 (a GGA-PBE-relaxed structure; Cu Kα (weighted mean of Kα1 and Kα2)).

Main lines, by angle (10 to 90 degrees two-theta):
h k l, two_theta, I (rel.)
2 0 0, 12.46, 15
4 2 0, 28.09, 23
4 2 2, 30.83, 62
5 3 1, 37.45, 100
6 0 0, 38.00, 37
6 2 0, 40.14, 11
7 5 3, 59.25, 19
9 3 1, 62.34, 10
8 4 4, 64.23, 12
9 5 3, 71.16, 15
11 3 1, 76.78, 10
8 6 6, 78.50, 11

```
data_CsCd13
_chemical_formula_sum 'Cs8 Cd104'
_symmetry_space_group_name_H-M 'F m -3 c'
_symmetry_Int_Tables_number 226
_symmetry_space_group_name_Hall '-F 4a 2 3'
_cell_length_a 14.2088
_cell_length_b 14.2088
_cell_length_c 14.2088
_cell_angle_alpha 90.00
_cell_angle_beta 90.00
_cell_angle_gamma 90.00
loop_
_atom_site_label
_atom_site_type_symbol
_atom_site_fract_x
_atom_site_fract_y
_atom_site_fract_z
Cs1 Cs 0.2500 0.2500 0.2500
Cd1 Cd 0.0000 0.0000 0.0000
Cd2 Cd 0.0000 0.1210 0.1798
```

---

Record 6
Structure and theoretical X-ray powder pattern of Cs3Mo2N5 (a GGA-PBE-relaxed structure; Cu Kα (weighted mean of Kα1 and Kα2)).

Main lines, by angle (10 to 90 degrees two-theta):
h k l, two_theta, I (rel.)
3 2 1, 24.90, 7
1 3 2, 27.07, 100
1 0 3, 27.41, 10
1 4 1, 28.11, 11
4 2 0, 28.94, 47
1 2 3, 30.37, 10
4 1 3, 38.02, 6
2 6 0, 41.39, 13
5 2 3, 44.53, 6
4 2 4, 46.62, 10
5 5 2, 50.16, 22
4 1 5, 53.17, 6

```
data_Cs3Mo2N5
_chemical_formula_sum 'Cs24 Mo16 N40'
_symmetry_space_group_name_H-M 'I 41'
_symmetry_Int_Tables_number 80
_symmetry_space_group_name_Hall 'I 4bw'
_cell_length_a 13.7974
_cell_length_b 13.7974
_cell_length_c 10.0466
_cell_angle_alpha 90.00
_cell_angle_beta 90.00
_cell_angle_gamma 90.00
loop_
_atom_site_label
_atom_site_type_symbol
_atom_site_fract_x
_atom_site_fract_y
_atom_site_fract_z
Cs1 Cs 0.0000 0.0000 0.0000
Cs2 Cs 0.0000 0.0000 0.4864
Cs3 Cs 0.0787 0.2943 0.9602
Cs4 Cs 0.0859 0.7620 0.2874
Mo1 Mo 0.1029 0.7784 0.6798
Mo2 Mo 0.1227 0.3072 0.5340
N1 N 0.0153 0.7014 0.5728
N2 N 0.0399 0.8706 0.7642
N3 N 0.0916 0.1405 0.1807
N4 N 0.1648 0.6936 0.8061
N5 N 0.1696 0.1935 0.4454
```

---

Record 7
Structure and theoretical X-ray powder pattern of Cu3B6H2O13 (a GGA-PBE-relaxed structure; Cu Kα (weighted mean of Kα1 and Kα2)).

Main lines, by angle (10 to 90 degrees two-theta):
h k l, two_theta, I (rel.)
1 3 1, 23.01, 93
3 1 1, 23.25, 100
2 4 0, 23.95, 47
4 4 0, 30.65, 54
5 1 1, 32.08, 50
0 2 2, 33.30, 70
2 6 0, 34.04, 47
6 2 0, 34.71, 53
2 2 2, 35.09, 64
3 5 1, 35.26, 49
1 1 3, 48.63, 47
4 8 0, 49.03, 39

```
data_Cu3B6H2O13
_chemical_formula_sum 'Cu24 B48 H16 O104'
_symmetry_space_group_name_H-M 'F d d 2'
_symmetry_Int_Tables_number 43
_symmetry_space_group_name_Hall 'F 2 -2d'
_cell_length_a 16.3095
_cell_length_b 16.6979
_cell_length_c 5.6905
_cell_angle_alpha 90.00
_cell_angle_beta 90.00
_cell_angle_gamma 90.00
loop_
_atom_site_label
_atom_site_type_symbol
_atom_site_fract_x
_atom_site_fract_y
_atom_site_fract_z
Cu1 Cu 0.0000 0.0000 0.0000
Cu2 Cu 0.0891 0.1709 0.6111
B1 B 0.0177 0.3321 0.6796
B2 B 0.0835 0.2703 0.0396
B3 B 0.1224 0.3770 0.3596
H1 H 0.0224 0.0432 0.4730
O1 O 0.0000 0.0000 0.3780
O2 O 0.0022 0.2489 0.6065
O3 O 0.0420 0.3846 0.4785
O4 O 0.0599 0.1368 0.2822
O5 O 0.0824 0.3327 0.8580
O6 O 0.1161 0.0482 0.9902
O7 O 0.1212 0.1957 0.9417
```

---

Record 8
Structure and theoretical X-ray powder pattern of Li2BiS2 (a GGA-PBE-relaxed structure; Cu Kα (weighted mean of Kα1 and Kα2)).

Main lines, by angle (10 to 90 degrees two-theta):
h k l, two_theta, I (rel.)
0 2 0, 13.21, 81
1 1 0, 22.81, 100
0 1 1, 23.12, 42
1 3 0, 29.67, 18
0 3 1, 29.92, 62
1 0 1, 31.27, 17
1 2 1, 34.08, 55
0 6 0, 40.43, 28
1 4 1, 41.51, 51
1 1 2, 51.18, 23
2 3 1, 54.52, 23
2 6 0, 61.65, 16

```
data_Li2BiS2
_chemical_formula_sum 'Li4 Bi2 S4'
_symmetry_space_group_name_H-M 'I m m 2'
_symmetry_Int_Tables_number 44
_symmetry_space_group_name_Hall 'I 2 -2'
_cell_length_a 4.0749
_cell_length_b 13.4025
_cell_length_c 4.0153
_cell_angle_alpha 90.00
_cell_angle_beta 90.00
_cell_angle_gamma 90.00
loop_
_atom_site_label
_atom_site_type_symbol
_atom_site_fract_x
_atom_site_fract_y
_atom_site_fract_z
Li1 Li 0.0000 0.2395 0.0000
Bi1 Bi 0.0000 0.5000 0.9870
S1 S 0.0000 0.3519 0.4904
```